Entry 1:
Structure and calculated powder XRD pattern of SiP2 (a PBE-relaxed structure; Cu Kα (λ = 1.5418 Å)).
Intensities are scaled so that the largest is 100.

```
data_SiP2
_chemical_formula_sum 'Si4 P8'
_cell_length_a 3.491
_cell_length_b 10.504
_cell_length_c 4.958
_cell_angle_alpha 90.00
_cell_angle_beta 90.00
_cell_angle_gamma 90.00
_space_group_name_H-M_alt 'C m c m'
_space_group_IT_number 63
_space_group_name_Hall '-C 2c 2'
loop_
_atom_site_label
_atom_site_type_symbol
_atom_site_fract_x
_atom_site_fract_y
_atom_site_fract_z
_atom_site_occupancy
Si1 Si 0.000 0.164 0.250 1
P1 P 0.000 0.171 0.750 1
P2 P 0.000 0.494 0.750 1
```

Peak list (7 most intense, 5 to 70 degrees two-theta, by intensity)
- 2.472 Å, 36.3 deg, intensity 100
- 1.751 Å, 52.3 deg, intensity 81
- 2.479 Å, 36.2 deg, intensity 51
- 1.427 Å, 65.4 deg, intensity 17
- 1.746 Å, 52.4 deg, intensity 16
- 1.430 Å, 65.2 deg, intensity 16
- 2.321 Å, 38.8 deg, intensity 1

Entry 2:
Structure and calculated powder XRD pattern of CsInCuBr6 (a PBE-relaxed structure; Cu Kα (λ = 1.5418 Å)).
Intensities are scaled so that the largest is 100.

```
data_CsInCuBr6
_chemical_formula_sum 'Cs1 In1 Cu1 Br6'
_cell_length_a 6.781
_cell_length_b 6.924
_cell_length_c 8.032
_cell_angle_alpha 92.20
_cell_angle_beta 96.70
_cell_angle_gamma 112.24
_space_group_name_H-M_alt 'P 1'
_space_group_IT_number 1
_space_group_name_Hall 'P 1'
loop_
_atom_site_label
_atom_site_type_symbol
_atom_site_fract_x
_atom_site_fract_y
_atom_site_fract_z
_atom_site_occupancy
Cs1 Cs 0.000 0.000 0.000 1
In1 In 0.604 0.351 0.490 1
Cu1 Cu 0.234 0.670 0.535 1
Br1 Br 0.292 0.450 0.309 1
Br2 Br 0.341 0.034 0.665 1
Br3 Br 0.528 0.624 0.717 1
Br4 Br 0.575 0.081 0.245 1
Br5 Br 0.916 0.686 0.362 1
Br6 Br 0.945 0.394 0.713 1
```

Peak list (10 most intense, 5 to 70 degrees two-theta, by intensity)
- 7.945 Å, 11.1 deg, intensity 100
- 2.571 Å, 34.9 deg, intensity 76
- 2.953 Å, 30.3 deg, intensity 70
- 5.210 Å, 17.0 deg, intensity 70
- 2.437 Å, 36.9 deg, intensity 63
- 2.975 Å, 30.0 deg, intensity 52
- 4.734 Å, 18.7 deg, intensity 46
- 3.244 Å, 27.5 deg, intensity 45
- 4.771 Å, 18.6 deg, intensity 45
- 3.616 Å, 24.6 deg, intensity 44

Entry 3:
Structure and calculated powder XRD pattern of Mg4Pa2O9 (a PBE-relaxed structure; Cu Kα (λ = 1.5418 Å)).
Intensities are scaled so that the largest is 100.

```
data_Mg4Pa2O9
_chemical_formula_sum 'Mg8 Pa4 O18'
_cell_length_a 5.4148
_cell_length_b 5.4148
_cell_length_c 14.7590
_cell_angle_alpha 90.00
_cell_angle_beta 90.00
_cell_angle_gamma 120.00
_space_group_name_H-M_alt 'P -3 c 1'
_space_group_IT_number 165
_space_group_name_Hall '-P 3 2"c'
loop_
_atom_site_label
_atom_site_type_symbol
_atom_site_fract_x
_atom_site_fract_y
_atom_site_fract_z
_atom_site_occupancy
Mg1 Mg 0.3333 0.6667 0.1879 1
Mg2 Mg 0.3333 0.6667 0.4865 1
Pa1 Pa 0.0000 0.0000 0.1376 1
O1 O 0.0000 0.2973 0.2500 1
O2 O 0.0269 0.3729 0.5823 1
```

Peak list (10 most intense, 5 to 70 degrees two-theta, by intensity)
- 4.689 Å, 18.9 deg, intensity 100
- 2.900 Å, 30.8 deg, intensity 79
- 2.707 Å, 33.1 deg, intensity 39
- 2.182 Å, 41.4 deg, intensity 32
- 1.979 Å, 45.9 deg, intensity 31
- 1.598 Å, 57.7 deg, intensity 30
- 2.345 Å, 38.4 deg, intensity 19
- 3.690 Å, 24.1 deg, intensity 17
- 1.772 Å, 51.6 deg, intensity 16
- 1.563 Å, 59.1 deg, intensity 14

Entry 4:
Structure and calculated powder XRD pattern of AcTePd (a PBE-relaxed structure; Cu Kα (λ = 1.5418 Å)).
Intensities are scaled so that the largest is 100.

```
data_AcTePd
_chemical_formula_sum 'Ac1 Te1 Pd1'
_cell_length_a 4.6793
_cell_length_b 4.6793
_cell_length_c 4.3612
_cell_angle_alpha 90.00
_cell_angle_beta 90.00
_cell_angle_gamma 120.00
_space_group_name_H-M_alt 'P 3 m 1'
_space_group_IT_number 156
_space_group_name_Hall 'P 3 -2"'
loop_
_atom_site_label
_atom_site_type_symbol
_atom_site_fract_x
_atom_site_fract_y
_atom_site_fract_z
_atom_site_occupancy
Ac1 Ac 0.0000 0.0000 0.0000 1
Te1 Te 0.3333 0.6667 0.5003 1
Pd1 Pd 0.6667 0.3333 0.4984 1
```

Peak list (10 most intense, 5 to 70 degrees two-theta, by intensity)
- 2.969 Å, 30.1 deg, intensity 100
- 2.340 Å, 38.5 deg, intensity 47
- 1.595 Å, 57.8 deg, intensity 29
- 1.838 Å, 49.6 deg, intensity 25
- 1.445 Å, 64.5 deg, intensity 23
- 2.181 Å, 41.4 deg, intensity 13
- 4.052 Å, 21.9 deg, intensity 10
- 1.368 Å, 68.6 deg, intensity 10
- 1.351 Å, 69.6 deg, intensity 8
- 1.920 Å, 47.3 deg, intensity 3

Entry 5:
Structure and calculated powder XRD pattern of LiRe4Se7 (a PBE-relaxed structure; Cu Kα (λ = 1.5418 Å)).
Intensities are scaled so that the largest is 100.

```
data_LiRe4Se7
_chemical_formula_sum 'Li2 Re8 Se14'
_cell_length_a 17.141
_cell_length_b 7.406
_cell_length_c 4.968
_cell_angle_alpha 90.00
_cell_angle_beta 90.00
_cell_angle_gamma 90.00
_space_group_name_H-M_alt 'P m n 21'
_space_group_IT_number 31
_space_group_name_Hall 'P 2ac -2'
loop_
_atom_site_label
_atom_site_type_symbol
_atom_site_fract_x
_atom_site_fract_y
_atom_site_fract_z
_atom_site_occupancy
Li1 Li 0.000 0.110 0.000 1
Re1 Re 0.130 0.184 0.458 1
Re2 Re 0.237 0.939 0.287 1
Se1 Se 0.000 0.330 0.411 1
Se2 Se 0.098 0.877 0.346 1
Se3 Se 0.153 0.272 0.929 1
Se4 Se 0.232 0.733 0.896 1
```

Peak list (10 most intense, 5 to 70 degrees two-theta, by intensity)
- 8.571 Å, 10.3 deg, intensity 100
- 7.406 Å, 12.0 deg, intensity 97
- 6.798 Å, 13.0 deg, intensity 44
- 5.604 Å, 15.8 deg, intensity 38
- 2.141 Å, 42.2 deg, intensity 36
- 2.063 Å, 43.9 deg, intensity 33
- 4.771 Å, 18.6 deg, intensity 31
- 2.441 Å, 36.8 deg, intensity 23
- 2.325 Å, 38.7 deg, intensity 22
- 2.484 Å, 36.2 deg, intensity 18

Entry 6:
Structure and calculated powder XRD pattern of LaPmMg17 (a PBE-relaxed structure; Cu Kα (λ = 1.5418 Å)).
Intensities are scaled so that the largest is 100.

```
data_LaPmMg17
_chemical_formula_sum 'La3 Pm3 Mg51'
_cell_length_a 10.3046
_cell_length_b 10.3046
_cell_length_c 15.2619
_cell_angle_alpha 90.00
_cell_angle_beta 90.00
_cell_angle_gamma 120.00
_space_group_name_H-M_alt 'R 3 m'
_space_group_IT_number 160
_space_group_name_Hall 'R 3 -2"'
loop_
_atom_site_label
_atom_site_type_symbol
_atom_site_fract_x
_atom_site_fract_y
_atom_site_fract_z
_atom_site_occupancy
La1 La 0.0000 0.0000 0.0000 1
Pm1 Pm 0.0000 0.0000 0.6616 1
Mg1 Mg 0.0000 0.0000 0.2334 1
Mg2 Mg 0.0000 0.0000 0.4311 1
Mg3 Mg 0.0009 0.3010 0.3317 1
Mg4 Mg 0.0021 0.5010 0.8311 1
Mg5 Mg 0.0120 0.5060 0.4840 1
Mg6 Mg 0.1684 0.3369 0.5134 1
```

Peak list (10 most intense, 5 to 70 degrees two-theta, by intensity)
- 2.568 Å, 34.9 deg, intensity 100
- 3.620 Å, 24.6 deg, intensity 78
- 2.576 Å, 34.8 deg, intensity 54
- 2.975 Å, 30.0 deg, intensity 50
- 5.152 Å, 17.2 deg, intensity 41
- 1.819 Å, 50.2 deg, intensity 26
- 2.544 Å, 35.3 deg, intensity 26
- 5.800 Å, 15.3 deg, intensity 22
- 1.810 Å, 50.4 deg, intensity 22
- 1.627 Å, 56.6 deg, intensity 21

Entry 7:
Structure and calculated powder XRD pattern of K5ZnO3 (a PBE-relaxed structure; Cu Kα (λ = 1.5418 Å)).
Intensities are scaled so that the largest is 100.

```
data_K5ZnO3
_chemical_formula_sum 'K10 Zn2 O6'
_cell_length_a 6.427
_cell_length_b 3.784
_cell_length_c 18.912
_cell_angle_alpha 90.00
_cell_angle_beta 99.61
_cell_angle_gamma 90.00
_space_group_name_H-M_alt 'P 1 2/m 1'
_space_group_IT_number 10
_space_group_name_Hall '-P 2y'
loop_
_atom_site_label
_atom_site_type_symbol
_atom_site_fract_x
_atom_site_fract_y
_atom_site_fract_z
_atom_site_occupancy
K1 K 0.125 0.000 0.269 1
K2 K 0.164 0.000 0.932 1
K3 K 0.260 0.500 0.441 1
K4 K 0.282 0.000 0.618 1
K5 K 0.337 0.500 0.105 1
Zn1 Zn 0.308 0.500 0.760 1
O1 O 0.000 0.500 0.000 1
O2 O 0.082 0.500 0.679 1
O3 O 0.416 0.000 0.797 1
O4 O 0.500 0.000 0.500 1
```

Peak list (10 most intense, 5 to 70 degrees two-theta, by intensity)
- 2.986 Å, 29.9 deg, intensity 100
- 2.783 Å, 32.2 deg, intensity 73
- 4.862 Å, 18.2 deg, intensity 46
- 9.323 Å, 9.5 deg, intensity 27
- 3.108 Å, 28.7 deg, intensity 26
- 2.621 Å, 34.2 deg, intensity 25
- 1.892 Å, 48.1 deg, intensity 25
- 5.716 Å, 15.5 deg, intensity 24
- 2.430 Å, 37.0 deg, intensity 24
- 3.168 Å, 28.2 deg, intensity 23

Entry 8:
Structure and calculated powder XRD pattern of PmZn5Au6 (a PBE-relaxed structure; Cu Kα (λ = 1.5418 Å)).
Intensities are scaled so that the largest is 100.

```
data_PmZn5Au6
_chemical_formula_sum 'Pm2 Zn10 Au12'
_cell_length_a 5.360
_cell_length_b 11.689
_cell_length_c 7.567
_cell_angle_alpha 90.00
_cell_angle_beta 109.73
_cell_angle_gamma 90.00
_space_group_name_H-M_alt 'C 1 2/m 1'
_space_group_IT_number 12
_space_group_name_Hall '-C 2y'
loop_
_atom_site_label
_atom_site_type_symbol
_atom_site_fract_x
_atom_site_fract_y
_atom_site_fract_z
_atom_site_occupancy
Pm1 Pm 0.000 0.000 0.000 1
Zn1 Zn 0.000 0.000 0.500 1
Zn2 Zn 0.000 0.301 0.000 1
Zn3 Zn 0.000 0.387 0.500 1
Au1 Au 0.016 0.192 0.701 1
Au2 Au 0.077 0.500 0.205 1
```

Peak list (10 most intense, 5 to 70 degrees two-theta, by intensity)
- 2.124 Å, 42.6 deg, intensity 100
- 2.613 Å, 34.3 deg, intensity 94
- 2.522 Å, 35.6 deg, intensity 75
- 3.084 Å, 29.0 deg, intensity 45
- 2.442 Å, 36.8 deg, intensity 35
- 1.996 Å, 45.4 deg, intensity 32
- 2.200 Å, 41.0 deg, intensity 31
- 2.117 Å, 42.7 deg, intensity 24
- 2.436 Å, 36.9 deg, intensity 22
- 1.707 Å, 53.7 deg, intensity 20